Simulated powder diffractogram
Compound: Sr3NbCoO7
Radiation: λ = 1.5418 Å (Cu Kα)
Structure: a structure optimized by DFT (GGA+U)

Cell and atoms:
Cell: 5.6188 11.0821 11.0821 Å, 29.36 90.00 90.00°
Fractional positions:
Sr: 0.0000 0.0000 0.0000
Sr: 0.0000 0.1637 0.1637
Sr: 0.0000 0.3745 0.3745
Sr: 0.5000 0.5000 0.5000
Sr: 0.5000 0.6637 0.6637
Sr: 0.5000 0.8745 0.8745
Nb: 0.0000 0.7802 0.7802
Nb: 0.5000 0.2802 0.2802
Co: 0.0000 0.5770 0.5770
Co: 0.5000 0.0770 0.0770
O: 0.0000 0.4843 0.4843
O: 0.0000 0.6907 0.6907
O: 0.0000 0.8783 0.8783
O: 0.2367 0.8231 0.3503
O: 0.2502 0.0353 0.5355
O: 0.2498 0.5353 0.0355
O: 0.2633 0.3231 0.8503
O: 0.5000 0.1907 0.1907
O: 0.5000 0.3783 0.3783
O: 0.5000 0.9843 0.9843
O: 0.7367 0.8503 0.3231
O: 0.7502 0.0355 0.5353
O: 0.7498 0.5355 0.0353
O: 0.7633 0.3503 0.8231

Largest 10 diffraction maxima, in order of falling intensity, 2θ from 15° to 90°:
30.68°, intensity 100
31.86°, intensity 63
45.67°, intensity 39
56.03°, intensity 37
63.89°, intensity 15
53.79°, intensity 15
42.15°, intensity 15
66.58°, intensity 11
75.71°, intensity 10
44.34°, intensity 10